Record 1
Starting from the PBE geometry in OQMD, the powder XRD pattern of Sm6Te5C was calculated for Cu Kα (λ = 1.5418 Å).
Peak positions follow from Bragg's law for the DFT cell and can differ from measured ones.

Structural model:
```
Sm6Te5C
1.0
3.797 -6.519 0.000
3.797 6.519 0.000
-2.472 0.000 7.035
Sm Te C
6 5 1
direct
0.070 0.353 0.713
0.206 0.206 0.274
0.353 0.070 0.713
0.647 0.930 0.287
0.794 0.794 0.726
0.930 0.647 0.287
0.180 0.820 0.000
0.336 0.664 0.500
0.500 0.500 0.000
0.664 0.336 0.500
0.820 0.180 0.000
0.000 0.000 0.500
```

The 8 most intense peaks (15 to 90 degrees two-theta), in order of rising 2θ:
| Position (°2θ) | I/Imax |
| --- | --- |
| 29.06 | 100 |
| 37.47 | 6 |
| 38.31 | 7 |
| 41.28 | 21 |
| 41.54 | 20 |
| 41.87 | 22 |
| 51.53 | 9 |
| 68.70 | 7 |



Record 2
Starting from the PBE geometry in OQMD, the powder XRD pattern of Be2SnPt was calculated for Cu Kα (λ = 1.5418 Å).
Peak positions follow from Bragg's law for the DFT cell and can differ from measured ones.

Structural model:
```
Be2SnPt
1.0
0.000 3.071 3.071
3.071 0.000 3.071
3.071 3.071 0.000
Be Sn Pt
2 1 1
direct
0.000 0.000 0.000
0.250 0.250 0.250
0.500 0.500 0.500
0.750 0.750 0.750
```

The 8 most intense peaks (15 to 90 degrees two-theta), in order of rising 2θ:
| Position (°2θ) | I/Imax |
| --- | --- |
| 25.11 | 100 |
| 29.08 | 5 |
| 41.59 | 90 |
| 49.20 | 51 |
| 60.27 | 15 |
| 66.34 | 21 |
| 75.89 | 32 |
| 81.41 | 16 |



Record 3
Starting from the PBE geometry in OQMD, the powder XRD pattern of Al4Co3 was calculated for Cu Kα (λ = 1.5418 Å).
Peak positions follow from Bragg's law for the DFT cell and can differ from measured ones.

Structural model:
```
Al4Co3
1.0
2.013 1.162 6.061
-2.013 1.162 6.061
0.000 -2.324 6.061
Al Co
4 3
direct
0.133 0.133 0.133
0.291 0.291 0.291
0.709 0.709 0.709
0.867 0.867 0.867
0.000 0.000 0.000
0.426 0.426 0.426
0.574 0.574 0.574
```

The 8 most intense peaks (15 to 90 degrees two-theta), in order of rising 2θ:
| Position (°2θ) | I/Imax |
| --- | --- |
| 27.40 | 31 |
| 35.68 | 10 |
| 43.44 | 100 |
| 45.04 | 94 |
| 64.37 | 29 |
| 78.61 | 14 |
| 82.00 | 28 |
| 83.12 | 14 |



Record 4
Starting from the PBE geometry in OQMD, the powder XRD pattern of TlReTe4Au3 was calculated for Cu Kα (λ = 1.5418 Å).
Peak positions follow from Bragg's law for the DFT cell and can differ from measured ones.

Structural model:
```
TlReTe4Au3
1.0
6.644 0.000 0.000
0.000 6.644 0.000
0.000 0.000 6.644
Tl Re Te Au
1 1 4 3
direct
0.000 0.000 0.000
0.500 0.500 0.500
0.271 0.271 0.271
0.271 0.729 0.729
0.729 0.271 0.729
0.729 0.729 0.271
0.000 0.500 0.500
0.500 0.000 0.500
0.500 0.500 0.000
```

The 8 most intense peaks (15 to 90 degrees two-theta), in order of rising 2θ:
| Position (°2θ) | I/Imax |
| --- | --- |
| 18.89 | 11 |
| 23.19 | 71 |
| 26.84 | 15 |
| 38.32 | 100 |
| 45.26 | 35 |
| 55.30 | 17 |
| 60.76 | 14 |
| 69.28 | 32 |



Record 5
Starting from the PBE geometry in OQMD, the powder XRD pattern of ZrCuB4 was calculated for Cu Kα (λ = 1.5418 Å).
Peak positions follow from Bragg's law for the DFT cell and can differ from measured ones.

Structural model:
```
ZrCuB4
1.0
3.125 0.000 0.000
-1.563 2.707 0.000
0.000 0.000 6.663
Zr Cu B
1 1 4
direct
0.000 0.000 0.000
0.000 0.000 0.500
0.333 0.667 0.264
0.333 0.667 0.736
0.667 0.333 0.264
0.667 0.333 0.736
```

The 8 most intense peaks (15 to 90 degrees two-theta), in order of rising 2θ:
| Position (°2θ) | I/Imax |
| --- | --- |
| 26.76 | 32 |
| 33.10 | 72 |
| 43.06 | 100 |
| 59.12 | 21 |
| 65.83 | 19 |
| 66.04 | 15 |
| 75.88 | 17 |
| 85.13 | 14 |



Record 6
Starting from the PBE geometry in OQMD, the powder XRD pattern of GaNi15 was calculated for Cu Kα (λ = 1.5418 Å).
Peak positions follow from Bragg's law for the DFT cell and can differ from measured ones.

Structural model:
```
GaNi15
1.0
4.291 0.000 0.000
0.000 33.642 0.000
-1.425 0.000 4.048
Ga Ni
2 30
direct
0.000 0.000 0.000
0.500 0.444 0.000
0.000 0.446 0.500
0.000 0.481 0.000
0.000 0.519 0.500
0.000 0.556 0.000
0.000 0.592 0.500
0.000 0.629 0.000
0.000 0.667 0.500
0.000 0.704 0.000
0.000 0.740 0.500
0.000 0.778 0.000
0.000 0.814 0.500
0.000 0.851 0.000
0.000 0.889 0.500
0.000 0.925 0.000
0.000 0.963 0.500
0.500 0.481 0.500
0.500 0.520 0.000
0.500 0.556 0.500
0.500 0.593 0.000
0.500 0.629 0.500
0.500 0.667 0.000
0.500 0.704 0.500
0.500 0.740 0.000
0.500 0.777 0.500
0.500 0.814 0.000
0.500 0.852 0.500
0.500 0.889 0.000
0.500 0.926 0.500
0.500 0.963 0.000
0.500 0.998 0.500
```

The 8 most intense peaks (15 to 90 degrees two-theta), in order of rising 2θ:
| Position (°2θ) | I/Imax |
| --- | --- |
| 43.48 | 52 |
| 44.81 | 100 |
| 45.79 | 46 |
| 51.00 | 32 |
| 52.26 | 31 |
| 53.07 | 29 |
| 76.02 | 18 |
| 77.69 | 17 |



Record 7
Starting from the PBE geometry in OQMD, the powder XRD pattern of SmGdGe2Ir was calculated for Cu Kα (λ = 1.5418 Å).
Peak positions follow from Bragg's law for the DFT cell and can differ from measured ones.

Structural model:
```
SmGdGe2Ir
1.0
5.352 -2.171 0.000
5.352 2.171 0.000
-4.777 0.000 9.330
Sm Gd Ge Ir
2 2 4 2
direct
0.190 0.190 0.119
0.810 0.810 0.881
0.008 0.008 0.331
0.992 0.992 0.669
0.351 0.351 0.447
0.482 0.482 0.117
0.518 0.518 0.883
0.649 0.649 0.553
0.272 0.272 0.662
0.728 0.728 0.338
```

The 8 most intense peaks (15 to 90 degrees two-theta), in order of rising 2θ:
| Position (°2θ) | I/Imax |
| --- | --- |
| 32.35 | 81 |
| 33.12 | 100 |
| 33.55 | 29 |
| 36.30 | 41 |
| 38.60 | 25 |
| 39.75 | 73 |
| 41.62 | 74 |
| 64.63 | 26 |



Record 8
Starting from the PBE geometry in OQMD, the powder XRD pattern of NaAu4Se4 was calculated for Cu Kα (λ = 1.5418 Å).
Peak positions follow from Bragg's law for the DFT cell and can differ from measured ones.

Structural model:
```
NaAu4Se4
1.0
4.390 0.000 0.000
-2.195 3.801 0.000
0.000 0.000 13.350
Na Au Se
1 4 4
direct
0.000 0.000 0.000
0.333 0.667 0.355
0.333 0.667 0.839
0.667 0.333 0.161
0.667 0.333 0.645
0.000 0.000 0.410
0.000 0.000 0.590
0.333 0.667 0.151
0.667 0.333 0.849
```

The 8 most intense peaks (15 to 90 degrees two-theta), in order of rising 2θ:
| Position (°2θ) | I/Imax |
| --- | --- |
| 23.40 | 18 |
| 26.71 | 34 |
| 26.99 | 100 |
| 35.80 | 31 |
| 41.13 | 66 |
| 47.34 | 23 |
| 49.72 | 38 |
| 49.89 | 19 |